The following is a calculated PXRD pattern of Ac7Pr3Tm. It was derived from a cell relaxed with PBE, using Cu Kα (weighted mean of Kα1 and Kα2).
Lines closer than 0.1° are merged.

Principal peaks in the range 2θ = 10–90°, by angle:
- 27.7°, I 23
- 28.3°, I 71
- 28.5°, I 100
- 29.2°, I 66
- 31.0°, I 55
- 34.2°, I 63
- 46.2°, I 26
- 47.4°, I 26
- 57.3°, I 20
- 57.8°, I 20

Cell and atoms:
Lattice parameters (Å, degrees): 8.3276 8.3276 6.9482 94.38 94.38 84.64
Sites, in units of the cell vectors:
Ac  0.0000  0.0000  0.0000
Ac  0.0775  0.4173  0.2604
Ac  0.2607  0.2607  0.7721
Ac  0.4173  0.0775  0.2604
Ac  0.5827  0.9225  0.7396
Ac  0.7393  0.7393  0.2279
Ac  0.9225  0.5827  0.7396
Pr  0.3363  0.6637  0.0000
Pr  0.5000  0.5000  0.5000
Pr  0.6637  0.3363  0.0000
Tm  0.0000  0.0000  0.5000

***

The following is a calculated PXRD pattern of Ca2MnRh. It was derived from a cell relaxed with PBE, using Cu Kα (weighted mean of Kα1 and Kα2).
Lines closer than 0.1° are merged.

Principal peaks in the range 2θ = 10–90°, by angle:
- 12.0°, I 100
- 25.7°, I 8
- 29.3°, I 30
- 31.8°, I 35
- 36.7°, I 10
- 37.7°, I 16
- 42.9°, I 32
- 44.7°, I 22
- 57.7°, I 15
- 67.6°, I 14

Cell and atoms:
Lattice parameters (Å, degrees): 7.7392 7.7392 7.7392 31.62 31.62 31.62
Sites, in units of the cell vectors:
Ca  0.0000  0.0000  0.0000
Ca  0.1780  0.1780  0.1780
Mn  0.4223  0.4223  0.4223
Rh  0.7561  0.7561  0.7561

***

Number 1 is which compound?
Ac7Pr3Tm